Record 1
Structure and calculated powder diffraction line list of CeNdCd3 (the PBE geometry in Alexandria; a wavelength of 1.5418 Å).
Intensities are scaled so that the largest is 100.

Main lines, by angle (2θ from 10° to 80°):
Position (°2θ), I_rel
33.0, 100
33.4, 56
34.4, 100
35.6, 49
49.6, 36
61.3, 19
62.2, 16
63.1, 17
65.5, 30
66.3, 15

Cell and atoms:
```
CeNdCd3
1.0
1.7002 -15.2410 0.0000
1.7002 15.2410 0.0000
0.0000 0.0000 5.0504
Ce Nd Cd
2 2 6
Cartesian
1.7002 8.6069 3.7878
1.7002 -8.6069 1.2626
1.7002 13.0125 1.2626
1.7002 -13.0125 3.7878
1.7002 5.2469 3.7878
1.7002 3.6916 1.2626
1.7002 0.7329 1.2626
1.7002 -0.7329 3.7878
1.7002 -3.6916 3.7878
1.7002 -5.2469 1.2626
```


Record 2
Structure and calculated powder diffraction line list of SbH3SO6 (the PBE geometry in Alexandria; a wavelength of 1.5418 Å).
Intensities are scaled so that the largest is 100.

Main lines, by angle (2θ from 10° to 80°):
Position (°2θ), I_rel
15.9, 24
16.5, 23
17.5, 26
19.5, 18
20.9, 100
26.3, 31
27.5, 52
29.9, 18
32.8, 25
38.5, 16

Cell and atoms:
```
SbH3SO6
1.0
6.0431 0.0000 0.0000
0.0000 13.5742 0.0000
-3.1581 0.0000 6.1187
Sb H S O
4 12 4 24
Cartesian
-0.8722 1.5108 2.4649
-2.4512 5.2763 5.5243
5.3362 8.2979 0.5944
3.7571 12.0635 3.6538
-1.4090 7.8044 5.2850
0.1701 12.5570 2.2257
1.4166 1.8063 0.5199
-0.1625 4.9808 3.5792
1.3673 0.3053 1.1202
-0.2117 6.4818 4.1795
3.0967 7.0924 1.9392
1.5176 13.2690 4.9985
3.0474 8.5934 2.5394
1.4684 11.7679 5.5988
2.7149 1.0173 3.8930
4.2939 5.7698 0.8337
0.5528 8.9610 3.4648
2.1319 11.4004 0.4055
0.7531 2.1739 5.7132
2.3322 4.6132 2.6539
-2.2075 7.3276 5.6481
-0.6284 13.0338 2.5888
-0.4014 10.0365 3.1969
1.1777 10.3249 0.1375
0.8548 1.1500 1.0216
-0.7243 5.6371 4.0810
0.5087 7.9647 2.2662
-1.0704 12.3966 5.3255
-0.6458 2.6187 5.5850
0.9333 4.1684 2.5257
0.1774 8.1382 4.6637
1.7565 12.2232 1.6044
1.1285 1.3511 4.5143
2.7075 5.4361 1.4549
1.9517 9.4059 3.5930
3.5308 10.9555 0.5337
3.9554 1.1776 0.7932
2.3763 5.6095 3.8525
3.6092 7.9371 2.0377
2.0302 12.4243 5.0970
1.7073 3.2493 5.9812
3.2863 3.5378 2.9218
3.5134 0.5405 3.5299
5.0925 6.2466 0.4705
```


Record 3
Structure and calculated powder diffraction line list of LiY (the PBE geometry in Alexandria; a wavelength of 1.5418 Å).
Intensities are scaled so that the largest is 100.

Main lines, by angle (2θ from 10° to 80°):
Position (°2θ), I_rel
25.4, 40
29.7, 62
31.7, 100
32.8, 66
34.1, 30
35.7, 32
37.5, 59
48.1, 22
52.4, 27
64.0, 30

Cell and atoms:
```
LiY
1.0
1.7468 1.0085 10.5174
-1.7468 1.0085 10.5174
0.0000 -2.0171 10.5174
Li Y
2 2
Cartesian
0.0000 0.0000 6.3896
0.0000 0.0000 25.1626
0.0000 0.0000 11.9338
0.0000 0.0000 19.6184
```


Record 4
Structure and calculated powder diffraction line list of KPu2Cl6 (the PBE geometry in Alexandria; a wavelength of 1.5418 Å).
Intensities are scaled so that the largest is 100.

Main lines, by angle (2θ from 10° to 80°):
Position (°2θ), I_rel
13.4, 17
14.7, 50
18.5, 100
24.1, 72
26.2, 16
35.9, 85
37.4, 25
42.1, 18
45.0, 32
45.4, 20

Cell and atoms:
```
KPu2Cl6
1.0
6.7949 0.0000 0.0000
0.0000 6.7949 0.0000
0.0000 0.0000 13.1693
K Pu Cl
2 4 12
Cartesian
0.0000 0.0000 0.0000
3.3974 3.3974 6.5846
0.0000 0.0000 4.3896
0.0000 0.0000 8.7797
3.3974 3.3974 2.1950
3.3974 3.3974 10.9743
1.2238 1.2238 6.5846
1.4212 1.4212 2.4336
1.4212 1.4212 10.7357
1.9763 4.8186 4.1510
1.9763 4.8186 9.0183
2.1736 4.6213 0.0000
4.6213 2.1736 0.0000
4.8186 1.9763 4.1510
4.8186 1.9763 9.0183
5.3737 5.3737 2.4336
5.3737 5.3737 10.7357
5.5711 5.5711 6.5846
```


Record 5
Structure and calculated powder diffraction line list of Ce3Y4O12 (the PBE geometry in Alexandria; a wavelength of 1.5418 Å).
Intensities are scaled so that the largest is 100.

Main lines, by angle (2θ from 10° to 80°):
Position (°2θ), I_rel
28.2, 100
28.8, 99
32.6, 17
33.3, 40
47.0, 17
47.3, 67
48.5, 18
55.9, 12
56.0, 27
57.1, 27

Cell and atoms:
```
Ce3Y4O12
1.0
13.8138 -1.8771 0.0000
13.8138 1.8771 0.0000
-1.0878 0.0000 5.3842
Ce Y O
3 4 12
Cartesian
0.0000 0.0000 0.0000
11.2272 0.0000 2.3221
15.0739 0.0000 3.1072
3.9664 0.0000 0.5311
7.5025 0.0000 1.8949
18.9810 0.0000 3.9052
22.8566 0.0000 4.6494
1.0337 0.0000 4.3987
1.9552 0.0000 1.8150
4.9674 0.0000 2.5105
5.2367 0.0000 5.3336
9.4143 0.0000 0.6364
9.2721 0.0000 3.3642
12.9996 0.0000 4.0447
13.6254 0.0000 1.3676
16.8509 0.0000 4.7496
21.0409 0.0000 3.0490
25.4367 0.0000 0.9972
24.9597 0.0000 3.7071
```


Record 6
Structure and calculated powder diffraction line list of NaPaIn2 (the PBE geometry in Alexandria; a wavelength of 1.5418 Å).
Intensities are scaled so that the largest is 100.

Main lines, by angle (2θ from 10° to 80°):
Position (°2θ), I_rel
15.3, 68
30.9, 77
32.8, 23
34.6, 20
36.4, 100
44.2, 29
45.6, 19
58.5, 50
68.7, 15
73.1, 13

Cell and atoms:
```
NaPaIn2
1.0
5.7903 0.0000 0.0000
0.0000 5.7903 0.0000
0.0000 0.0000 3.1000
Na Pa In
1 1 2
Cartesian
0.0000 0.0000 0.0000
2.8951 2.8951 0.0000
0.0000 2.8951 1.5500
2.8951 0.0000 1.5500
```


Record 7
Structure and calculated powder diffraction line list of NdCo4Si2 (the PBE geometry in Alexandria; a wavelength of 1.5418 Å).
Intensities are scaled so that the largest is 100.

Main lines, by angle (2θ from 10° to 80°):
Position (°2θ), I_rel
24.5, 20
27.5, 21
37.2, 100
39.2, 48
43.2, 26
46.8, 28
50.4, 20
58.2, 20
65.7, 20
69.7, 25

Cell and atoms:
```
NdCo4Si2
1.0
7.2698 0.0000 0.0000
0.0000 7.2698 0.0000
0.0000 0.0000 3.6180
Nd Co Si
2 8 4
Cartesian
0.0000 0.0000 0.0000
3.6349 3.6349 1.8090
0.5752 2.5432 1.8090
1.0917 4.2102 0.0000
2.5432 0.5752 1.8090
3.0597 6.1781 0.0000
4.2102 1.0917 0.0000
4.7266 6.6946 1.8090
6.1781 3.0597 0.0000
6.6946 4.7266 1.8090
1.6416 5.6282 1.8090
1.9933 1.9933 0.0000
5.2765 5.2765 0.0000
5.6282 1.6416 1.8090
```


Record 8
Structure and calculated powder diffraction line list of PuPa3Ge2 (the PBE geometry in Alexandria; a wavelength of 1.5418 Å).
Intensities are scaled so that the largest is 100.

Main lines, by angle (2θ from 10° to 80°):
Position (°2θ), I_rel
23.9, 17
31.0, 26
32.0, 100
34.0, 36
37.8, 64
42.8, 46
55.8, 56
71.7, 24
72.8, 17
75.1, 20

Cell and atoms:
```
PuPa3Ge2
1.0
4.2234 0.0000 0.0000
0.0000 4.2234 0.0000
0.0000 0.0000 7.9046
Pu Pa Ge
1 3 2
Cartesian
0.0000 0.0000 0.0000
0.0000 2.1117 2.7541
2.1117 0.0000 5.1505
2.1117 2.1117 0.0000
0.0000 2.1117 5.6822
2.1117 0.0000 2.2224
```


Record 9
Structure and calculated powder diffraction line list of Pr3Zn2Si3 (the PBE geometry in Alexandria; a wavelength of 1.5418 Å).
Intensities are scaled so that the largest is 100.

Main lines, by angle (2θ from 10° to 80°):
Position (°2θ), I_rel
23.5, 30
25.4, 39
32.2, 100
32.5, 92
32.7, 39
34.9, 36
39.9, 51
43.1, 35
43.8, 30
48.2, 33

Cell and atoms:
```
Pr3Zn2Si3
1.0
2.0992 -5.5725 0.0000
2.0992 5.5725 0.0000
0.0000 0.0000 15.4329
Pr Zn Si
6 4 6
Cartesian
2.0992 4.9867 11.5747
2.0992 1.6284 9.1711
2.0992 1.6284 13.9782
2.0992 -1.6284 1.4547
2.0992 -1.6284 6.2617
2.0992 -4.9867 3.8582
2.0992 1.6075 1.8155
2.0992 1.6075 5.9009
2.0992 -1.6075 9.5320
2.0992 -1.6075 13.6174
2.0992 4.7514 8.5565
2.0992 4.7514 14.5928
2.0992 3.0780 3.8582
2.0992 -3.0780 11.5747
2.0992 -4.7514 0.8401
2.0992 -4.7514 6.8764
```


Record 10
Structure and calculated powder diffraction line list of BaNa8 (the PBE geometry in Alexandria; a wavelength of 1.5418 Å).
Intensities are scaled so that the largest is 100.

Main lines, by angle (2θ from 10° to 80°):
Position (°2θ), I_rel
10.8, 38
15.3, 20
17.8, 36
23.5, 37
24.3, 17
28.2, 100
32.3, 31
32.9, 32
46.8, 23
55.9, 25

Cell and atoms:
```
BaNa8
1.0
-5.7802 5.7802 2.7671
5.7802 -5.7802 2.7671
5.7802 5.7802 -2.7671
Ba Na
1 8
Cartesian
0.0000 0.0000 0.0000
3.9808 0.0000 0.0000
7.5796 0.0000 0.0000
3.6958 3.6958 0.0000
2.0844 -2.0844 2.7671
0.0000 3.9808 0.0000
0.0000 7.5796 0.0000
-2.0844 2.0844 2.7671
2.0844 2.0844 2.7671
```


Record 11
Structure and calculated powder diffraction line list of Dy2Er6Zn (the PBE geometry in Alexandria; a wavelength of 1.5418 Å).
Intensities are scaled so that the largest is 100.

Main lines, by angle (2θ from 10° to 80°):
Position (°2θ), I_rel
31.6, 54
32.2, 100
32.4, 35
33.0, 74
33.4, 29
33.9, 62
38.5, 24
47.6, 24
52.2, 24
62.2, 19

Cell and atoms:
```
Dy2Er6Zn
1.0
9.8215 0.0000 0.0000
0.0000 10.0439 0.0000
0.0000 0.0000 5.2882
Dy Er Zn
4 12 2
Cartesian
1.9928 2.3168 0.0000
2.9180 7.3387 2.6441
6.9035 2.7052 2.6441
7.8287 7.7271 0.0000
0.2861 3.1692 2.6441
1.2620 8.9027 0.0000
1.8138 5.5882 0.0000
3.0970 0.5663 2.6441
3.6487 3.8808 2.6441
4.6246 8.1912 0.0000
5.1969 1.8527 0.0000
6.1727 6.1631 2.6441
6.7245 9.4776 2.6441
8.0077 4.4557 0.0000
8.5595 1.1412 0.0000
9.5353 6.8747 2.6441
0.0000 0.0000 2.6441
4.9107 5.0219 0.0000
```


Record 12
Structure and calculated powder diffraction line list of TmPtN (the PBE geometry in Alexandria; a wavelength of 1.5418 Å).
Intensities are scaled so that the largest is 100.

Main lines, by angle (2θ from 10° to 80°):
Position (°2θ), I_rel
11.2, 85
32.7, 65
33.9, 88
36.0, 73
36.6, 39
38.5, 100
39.1, 80
40.4, 71
41.4, 44
49.8, 37

Cell and atoms:
```
TmPtN
1.0
3.2578 0.0000 0.0000
-0.2235 3.6668 0.0000
-1.3689 -0.2927 7.9207
Tm Pt N
2 2 2
Cartesian
0.0000 0.0000 0.0000
0.1100 1.4319 3.0677
0.1469 1.5040 6.3740
1.5164 3.4578 4.8269
1.6160 0.2429 1.6821
1.8867 3.0660 2.6987
```